# Ca10P6SO24
Theoretical powder X-ray diffraction pattern, Cu Kα (weighted mean of Kα1 and Kα2). Input: a structure optimized by DFT (GGA-PBE).
No peak broadening, texture or thermal motion is included.

Structure:
a b c (Å): 9.6803 9.6803 6.7817
angles (deg): 90.00 90.00 120.00
Space group P-3 (No. 147)
One atom of each set of equivalent atoms:
Ca 0.0075 0.7510 0.2372 x6
Ca 0.3333 0.6667 0.0182 x2
Ca 0.3333 0.6667 0.5253 x2
P 0.0306 0.4054 0.2534 x6
S 0.0000 0.0000 0.0000 x1
O 0.0705 0.3140 0.4212 x6
O 0.1023 0.3855 0.0574 x6
O 0.1236 0.5892 0.2951 x6
O 0.1506 0.6575 0.7616 x6

Largest 8 diffraction maxima, in order of rising 2θ, 2θ = 10–90°:
- 10.55 deg, intensity 22
- 26.28 deg, intensity 18
- 31.16 deg, intensity 100
- 32.03 deg, intensity 53
- 32.23 deg, intensity 63
- 46.08 deg, intensity 34
- 49.25 deg, intensity 16
- 49.53 deg, intensity 30